# KCaH6N3
Simulated XRD peak list, Cu Kα (weighted mean of Kα1 and Kα2). Input: the PBE geometry in Alexandria.
Intensities are scaled so that the largest is 100.

Principal peaks in the range 10 to 90 degrees two-theta, by angle:
- 2θ = 13.54°, I = 50
- 2θ = 14.97°, I = 62
- 2θ = 15.48°, I = 50
- 2θ = 15.84°, I = 61
- 2θ = 26.38°, I = 100
- 2θ = 27.26°, I = 60
- 2θ = 30.64°, I = 57
- 2θ = 33.41°, I = 42
- 2θ = 34.98°, I = 59
- 2θ = 35.64°, I = 58
- 2θ = 36.33°, I = 82
- 2θ = 54.30°, I = 29

Cell and atoms:
Cell: 6.869 11.835 6.666 Å, 90.00 107.77 90.00°
Space group P2_1/c (No. 14)
Symmetry-distinct sites (fractional):
1 K 0.240 0.091 0.397
2 Ca 0.169 0.737 0.916
3 H 0.043 0.087 0.937
4 H 0.154 0.515 0.232
5 H 0.234 0.164 0.934
6 H 0.354 0.590 0.264
7 H 0.441 0.596 0.668
8 H 0.455 0.214 0.733
9 N 0.084 0.170 0.933
10 N 0.199 0.591 0.188
11 N 0.412 0.668 0.741

=====

# K2CaH2S2O9
Simulated XRD peak list, Cu Kα (weighted mean of Kα1 and Kα2). Input: the PBE geometry in Alexandria.
Intensities are scaled so that the largest is 100.

Principal peaks in the range 10 to 90 degrees two-theta, by angle:
- 2θ = 15.37°, I = 64
- 2θ = 18.97°, I = 46
- 2θ = 26.45°, I = 44
- 2θ = 27.78°, I = 100
- 2θ = 29.00°, I = 42
- 2θ = 30.88°, I = 66
- 2θ = 31.03°, I = 67
- 2θ = 31.33°, I = 71
- 2θ = 32.33°, I = 74
- 2θ = 35.14°, I = 52
- 2θ = 45.50°, I = 37
- 2θ = 50.76°, I = 40

Cell and atoms:
Cell: 6.346 7.194 9.933 Å, 90.00 104.07 90.00°
Space group P2_1/m (No. 11)
Symmetry-distinct sites (fractional):
1 K 0.188 0.006 0.335
2 Ca 0.334 0.250 0.967
3 H 0.408 0.639 0.752
4 S 0.161 0.750 0.009
5 S 0.276 0.250 0.640
6 O 0.012 0.250 0.121
7 O 0.055 0.750 0.128
8 O 0.064 0.250 0.534
9 O 0.286 0.083 0.733
10 O 0.306 0.584 0.019
11 O 0.458 0.250 0.571
12 O 0.498 0.250 0.222

=====

# CaLa2H
Simulated XRD peak list, Cu Kα (weighted mean of Kα1 and Kα2). Input: the PBE geometry in Alexandria.
Intensities are scaled so that the largest is 100.

Principal peaks in the range 10 to 90 degrees two-theta, by angle:
- 2θ = 15.49°, I = 35
- 2θ = 26.31°, I = 50
- 2θ = 28.34°, I = 100
- 2θ = 31.28°, I = 31
- 2θ = 32.86°, I = 18
- 2θ = 37.70°, I = 28
- 2θ = 40.85°, I = 24
- 2θ = 44.51°, I = 14
- 2θ = 52.84°, I = 16
- 2θ = 53.88°, I = 11
- 2θ = 55.78°, I = 13
- 2θ = 57.05°, I = 17

Cell and atoms:
Cell: 7.545 7.545 8.768 Å, 90.00 90.00 90.00°
Space group I-42d (No. 122)
Symmetry-distinct sites (fractional):
1 Ca 0.000 0.000 0.000
2 La 0.104 0.250 0.625
3 H 0.000 0.000 0.500

=====

> Number 1 is which compound?

KCaH6N3